# 1
ScGa6Mo: simulated PXRD pattern (copper Kα), based on a crystal structure in Alexandria, relaxed with PBE.
Lines closer than 0.1° are merged.

Top 6 peaks for 2θ = 10–90°, by intensity:
| 2θ (°) | I (rel.) |
| --- | --- |
| 39.02 | 100 |
| 42.42 | 45 |
| 31.81 | 41 |
| 37.44 | 26 |
| 51.19 | 18 |
| 66.47 | 15 |

Atomic structure:
```
8
Lattice="4.6162 2.6652 2.0036 -4.6162 2.6652 2.0036 0.0000 -5.3303 2.0036" Properties=species:S:1:pos:R:3 pbc="T T T"
Sc 0.0000 0.0000 0.0000
Ga 0.0000 -2.5098 2.3491
Ga -2.1735 1.2549 2.3491
Ga -2.1735 -1.2549 3.6616
Ga 2.1735 1.2549 2.3491
Ga 2.1735 -1.2549 3.6616
Ga 0.0000 2.5098 3.6616
Mo 0.0000 0.0000 3.0054
```

=====

# 2
TcW3: simulated PXRD pattern (copper Kα), based on a crystal structure in Alexandria, relaxed with PBE.
Lines closer than 0.1° are merged.

Top 6 peaks for 2θ = 10–90°, by intensity:
| 2θ (°) | I (rel.) |
| --- | --- |
| 40.35 | 100 |
| 73.34 | 23 |
| 73.44 | 12 |
| 58.34 | 11 |
| 87.28 | 8 |
| 58.49 | 6 |

Atomic structure:
```
8
Lattice="3.1558 -4.4716 0.0000 3.1558 4.4716 0.0000 0.0000 0.0000 4.4755" Properties=species:S:1:pos:R:3 pbc="T T T"
Tc 3.1558 3.3876 3.3566
Tc 3.1558 -3.3876 1.1189
W 1.5877 1.1160 3.3566
W 3.1558 1.1384 1.1189
W 1.5877 -1.1160 1.1189
W 4.7239 1.1160 3.3566
W 3.1558 -1.1384 3.3566
W 4.7239 -1.1160 1.1189
```

=====

# 3
Na3Sn2Sb2: simulated PXRD pattern (copper Kα), based on a crystal structure in Alexandria, relaxed with PBE.
Lines closer than 0.1° are merged.

Top 6 peaks for 2θ = 10–90°, by intensity:
| 2θ (°) | I (rel.) |
| --- | --- |
| 18.13 | 100 |
| 11.76 | 85 |
| 34.70 | 79 |
| 35.86 | 74 |
| 33.77 | 67 |
| 39.93 | 66 |

Atomic structure:
```
28
Lattice="6.4236 0.0000 0.0000 0.0000 8.7450 0.0000 0.0000 0.0000 15.0543" Properties=species:S:1:pos:R:3 pbc="T T T"
Na 0.6990 0.3606 1.9202
Na 0.6990 0.3606 5.6069
Na 0.6990 4.0119 9.4474
Na 0.6990 4.0119 13.1341
Na 2.1424 6.0318 3.7636
Na 2.1424 7.0857 11.2907
Na 4.2812 1.6593 3.7636
Na 4.2812 2.7132 11.2907
Na 5.7246 4.7331 1.9202
Na 5.7246 4.7331 5.6069
Na 5.7246 8.3844 9.4474
Na 5.7246 8.3844 13.1341
Sn 2.2706 0.9430 8.4480
Sn 2.2706 0.9430 14.1335
Sn 2.2706 3.4295 0.9208
Sn 2.2706 3.4295 6.6063
Sn 4.1531 5.3155 8.4480
Sn 4.1531 5.3155 14.1335
Sn 4.1531 7.8020 0.9208
Sn 4.1531 7.8020 6.6063
Sb 1.3149 1.4792 11.2907
Sb 1.3149 2.8933 3.7636
Sb 1.4978 6.5587 0.0000
Sb 1.4978 6.5587 7.5272
Sb 4.9259 2.1862 0.0000
Sb 4.9259 2.1862 7.5272
Sb 5.1087 5.8517 11.2907
Sb 5.1087 7.2658 3.7636
```